This entry pairs a crystal structure of La3Al7Cd2 with its computed powder XRD pattern. Radiation: Cu Kα (λ = 1.5418 Å). Structure: a cell relaxed with GGA-PBE.
Neutral-atom scattering factors, no anomalous dispersion.

Structural model:
```
12
Lattice="2.892 1.670 9.183 -2.892 1.670 9.183 0.000 -3.340 9.183" Properties=species:S:1:pos:R:3 pbc="T T T"
La 0.000 0.000 0.000
La 0.000 0.000 3.884
La 0.000 0.000 23.665
Al -1.479 -0.854 11.533
Al 0.000 -1.708 16.015
Al -1.479 0.854 16.015
Al 0.000 0.000 13.774
Al 1.479 -0.854 11.533
Al 0.000 1.708 11.533
Al 1.479 0.854 16.015
Cd 0.000 0.000 9.250
Cd 0.000 0.000 18.298
```

The 10 most intense peaks (10° ≤ 2θ ≤ 90°), sorted by position:
| Position (°2θ) | I_rel |
| --- | --- |
| 19.33 | 337 |
| 21.94 | 167 |
| 28.85 | 218 |
| 30.92 | 828 |
| 31.53 | 177 |
| 36.72 | 1000 |
| 54.99 | 159 |
| 58.85 | 247 |
| 59.63 | 198 |
| 64.43 | 178 |